(1)
Na4Ca: calculated PXRD pattern (copper Kα), based on a crystal structure in Alexandria, relaxed with GGA-PBE.
Intensities are scaled so that the largest is 100.

Structure:
Lattice parameters (Å, degrees): 3.8145 3.8145 45.8508 90.00 90.00 120.00
Space group R-3m (No. 166, hexagonal axes)
Asymmetric unit:
Na1 0.0000 0.0000 0.0980 (multiplicity 6)
Na2 0.0000 0.0000 0.3010 (multiplicity 6)
Ca1 0.0000 0.0000 0.5000 (multiplicity 3)

The 6 most intense peaks (5 to 70 degrees two-theta), by angle:
(0 1 5), 2θ = 28.72°, rel. 100; (0 0 15), 2θ = 29.22°, rel. 31; (1 0 10), 2θ = 33.43°, rel. 66; (1 1 0), 2θ = 47.68°, rel. 23; (0 1 20), 2θ = 48.32°, rel. 21; (1 1 15), 2θ = 56.90°, rel. 25

***

(2)
Na7Hg5: calculated PXRD pattern (copper Kα), based on a crystal structure in Alexandria, relaxed with GGA-PBE.
Intensities are scaled so that the largest is 100.

Structure:
Lattice parameters (Å, degrees): 13.8494 4.7855 10.7406 90.00 114.98 90.00
Space group C2/m (No. 12)
Asymmetric unit:
Na1 0.0000 0.0000 0.0000 (multiplicity 2)
Na2 0.0819 0.5000 0.2409 (multiplicity 4)
Na3 0.1081 0.0000 0.7637 (multiplicity 4)
Na4 0.1575 0.0000 0.4975 (multiplicity 4)
Hg1 0.0000 0.5000 0.5000 (multiplicity 2)
Hg2 0.1628 0.5000 0.9932 (multiplicity 4)
Hg3 0.2409 0.0000 0.2532 (multiplicity 4)

The 6 most intense peaks (5 to 70 degrees two-theta), by angle:
(2 0 1), 2θ = 19.84°, rel. 43; (2 0 -3), 2θ = 24.96°, rel. 34; (3 1 1), 2θ = 32.54°, rel. 100; (3 1 -3), 2θ = 32.72°, rel. 99; (0 0 4), 2θ = 36.93°, rel. 36; (0 2 0), 2θ = 37.61°, rel. 46

***

(3)
Mn2AlNi5: calculated PXRD pattern (copper Kα), based on a crystal structure in Alexandria, relaxed with GGA-PBE.
Intensities are scaled so that the largest is 100.

Structure:
Lattice parameters (Å, degrees): 3.7555 3.7555 13.4190 90.00 90.00 90.00
Space group I4/mmm (No. 139)
Asymmetric unit:
Mn1 0.0000 0.0000 0.2488 (multiplicity 4)
Al1 0.0000 0.0000 0.0000 (multiplicity 2)
Ni1 0.0000 0.0000 0.5000 (multiplicity 2)
Ni2 0.0000 0.5000 0.1236 (multiplicity 8)

The 6 most intense peaks (5 to 70 degrees two-theta), by angle:
(1 0 1), 2θ = 24.62°, rel. 3; (1 0 3), 2θ = 31.09°, rel. 2; (1 1 0), 2θ = 33.75°, rel. 2; (1 1 4), 2θ = 43.46°, rel. 100; (2 0 0), 2θ = 48.48°, rel. 36; (0 0 8), 2θ = 54.72°, rel. 12

***

(4)
Tb9Ho2Tm3: calculated PXRD pattern (copper Kα), based on a crystal structure in Alexandria, relaxed with GGA-PBE.
Intensities are scaled so that the largest is 100.

Structure:
Lattice parameters (Å, degrees): 6.1117 9.3434 9.3476 110.85 109.05 102.69
Space group P-1 (No. 2)
Asymmetric unit:
Tb1 0.0000 0.0000 0.0000 (multiplicity 1)
Tb2 0.2143 0.0722 0.7142 (multiplicity 2)
Tb3 0.2859 0.4294 0.2857 (multiplicity 2)
Tb4 0.3561 0.7842 0.8564 (multiplicity 2)
Tb5 0.4294 0.1434 0.4291 (multiplicity 2)
Ho1 0.1417 0.7132 0.1426 (multiplicity 2)
Tm1 0.0720 0.3578 0.5721 (multiplicity 2)
Tm2 0.5000 0.5000 0.0000 (multiplicity 1)

The 6 most intense peaks (5 to 70 degrees two-theta), by angle:
(1 1 1), 2θ = 31.01°, rel. 100; (2 -2 1), 2θ = 35.96°, rel. 51; (0 4 1), 2θ = 51.76°, rel. 30; (0 2 4), 2θ = 61.54°, rel. 25; (3 3 -4), 2θ = 61.64°, rel. 18; (2 2 2), 2θ = 64.62°, rel. 9